Record 1
# Cs2NaBiI6
Calculated X-ray diffraction stick pattern, copper Kα. Input: a DFT-relaxed cell (GGA-PBE, the Materials Project).

Peak list (10 most intense, 10° ≤ 2θ ≤ 90°, by angle)
two_theta  I (rel.)
12.2  23
14.2  16
20.1  17
24.6  77
28.5  100
40.8  76
48.2  36
50.5  27
66.9  35
74.3  26

a b c (Å): 8.8493 8.8493 8.8493
angles (deg): 60.00 60.00 60.00
Fractional coordinates of all 10 atoms:
Cs 0.2500 0.2500 0.2500
Cs 0.7500 0.7500 0.7500
Na 0.0000 0.0000 0.0000
Bi 0.5000 0.5000 0.5000
I 0.2533 0.2533 0.7467
I 0.2533 0.7467 0.2533
I 0.2533 0.7467 0.7467
I 0.7467 0.2533 0.2533
I 0.7467 0.2533 0.7467
I 0.7467 0.7467 0.2533

---

Record 2
# Gd2P7Rh12
Calculated X-ray diffraction stick pattern, copper Kα. Input: a DFT-relaxed cell (GGA-PBE, the Materials Project).

Peak list (10 most intense, 10° ≤ 2θ ≤ 90°, by angle)
two_theta  I (rel.)
28.3  14
36.7  100
37.3  9
45.6  8
46.8  15
47.5  8
50.1  18
63.7  8
71.0  11
80.2  10

a b c (Å): 9.6424 9.6424 3.8807
angles (deg): 90.00 90.00 120.00
Fractional coordinates of all 21 atoms:
Gd 0.3333 0.6667 0.2510
Gd 0.6667 0.3333 0.7490
P 0.0000 0.0000 0.5000
P 0.1175 0.7135 0.7532
P 0.2865 0.4040 0.7532
P 0.4040 0.1175 0.2468
P 0.5960 0.8825 0.7532
P 0.7135 0.5960 0.2468
P 0.8825 0.2865 0.2468
Rh 0.0673 0.4489 0.7511
Rh 0.1119 0.2611 0.2502
Rh 0.1492 0.8881 0.2502
Rh 0.2611 0.1492 0.7498
Rh 0.3816 0.9327 0.7511
Rh 0.4489 0.3816 0.2489
Rh 0.5511 0.6184 0.7511
Rh 0.6184 0.0673 0.2489
Rh 0.7389 0.8508 0.2502
Rh 0.8508 0.1119 0.7498
Rh 0.8881 0.7389 0.7498
Rh 0.9327 0.5511 0.2489

---

Record 3
# Na2BHO3
Calculated X-ray diffraction stick pattern, copper Kα. Input: a DFT-relaxed cell (GGA-PBE, the Materials Project).

Peak list (10 most intense, 10° ≤ 2θ ≤ 90°, by angle)
two_theta  I (rel.)
26.7  40
32.6  100
34.0  19
37.1  28
37.6  17
41.3  35
41.4  20
44.3  52
51.6  33
52.7  16

a b c (Å): 8.6848 3.5437 9.9554
angles (deg): 90.00 90.00 90.00
Fractional coordinates of all 28 atoms:
Na 0.0721 0.2500 0.1035
Na 0.1725 0.2500 0.4467
Na 0.3275 0.7500 0.9467
Na 0.4279 0.7500 0.6035
Na 0.5721 0.2500 0.3965
Na 0.6725 0.2500 0.0533
Na 0.8275 0.7500 0.5533
Na 0.9279 0.7500 0.8965
B 0.1374 0.2500 0.7412
B 0.3626 0.7500 0.2412
B 0.6374 0.2500 0.7588
B 0.8626 0.7500 0.2588
H 0.0969 0.7500 0.2713
H 0.4031 0.2500 0.7713
H 0.5969 0.7500 0.2287
H 0.9031 0.2500 0.7287
O 0.0038 0.7500 0.3370
O 0.1285 0.2500 0.8782
O 0.2291 0.7500 0.1684
O 0.2709 0.2500 0.6684
O 0.3715 0.7500 0.3782
O 0.4962 0.2500 0.8370
O 0.5038 0.7500 0.1630
O 0.6285 0.2500 0.6218
O 0.7291 0.7500 0.3316
O 0.7709 0.2500 0.8316
O 0.8715 0.7500 0.1218
O 0.9962 0.2500 0.6630

---

Record 4
# BaNaHfBiO6
Calculated X-ray diffraction stick pattern, copper Kα. Input: a DFT-relaxed cell (GGA-PBE, the Materials Project).

Peak list (10 most intense, 10° ≤ 2θ ≤ 90°, by angle)
two_theta  I (rel.)
18.3  11
21.2  32
30.1  100
43.1  30
48.5  14
53.5  42
62.6  19
66.9  7
71.1  18
86.9  22

a b c (Å): 5.9320 5.9320 5.9320
angles (deg): 60.00 60.00 60.00
Fractional coordinates of all 10 atoms:
Ba 0.0000 0.0000 0.0000
Na 0.5000 0.5000 0.5000
Hf 0.2500 0.2500 0.2500
Bi 0.7500 0.7500 0.7500
O 0.0030 0.0030 0.4970
O 0.0030 0.4970 0.0030
O 0.0030 0.4970 0.4970
O 0.4970 0.0030 0.0030
O 0.4970 0.0030 0.4970
O 0.4970 0.4970 0.0030

---

Record 5
# Al2PO7
Calculated X-ray diffraction stick pattern, copper Kα. Input: a DFT-relaxed cell (GGA-PBE, the Materials Project).

Peak list (10 most intense, 10° ≤ 2θ ≤ 90°, by angle)
two_theta  I (rel.)
18.3  45
18.6  36
21.3  36
24.5  49
25.0  100
25.8  95
27.2  24
35.3  14
44.9  19
47.5  30

a b c (Å): 7.8599 7.8599 5.2233
angles (deg): 108.31 108.31 64.06
Fractional coordinates of all 20 atoms:
Al 0.1973 0.1973 0.4369
Al 0.2188 0.7812 0.0000
Al 0.7812 0.2188 0.0000
Al 0.8027 0.8027 0.5631
P 0.3509 0.3509 0.0825
P 0.6491 0.6491 0.9175
O 0.0585 0.7288 0.6711
O 0.0754 0.0754 0.9758
O 0.2606 0.2606 0.7951
O 0.2711 0.5717 0.1251
O 0.2712 0.9415 0.3289
O 0.3002 0.3002 0.3025
O 0.4283 0.7289 0.8749
O 0.5717 0.2711 0.1251
O 0.6998 0.6998 0.6975
O 0.7288 0.0585 0.6711
O 0.7289 0.4283 0.8749
O 0.7394 0.7394 0.2049
O 0.9246 0.9246 0.0242
O 0.9415 0.2712 0.3289

---

Record 6
# Pb12BrCl7O8
Calculated X-ray diffraction stick pattern, copper Kα. Input: a DFT-relaxed cell (GGA-PBE, the Materials Project).

Peak list (10 most intense, 10° ≤ 2θ ≤ 90°, by angle)
two_theta  I (rel.)
11.6  61
22.9  60
24.7  77
28.3  69
28.7  72
30.1  83
31.3  97
32.1  41
33.2  100
42.1  71

a b c (Å): 9.7959 5.9387 12.0977
angles (deg): 90.00 90.10 90.00
Fractional coordinates of all 28 atoms:
Pb 0.0000 0.0000 0.0000
Pb 0.0477 0.0000 0.2982
Pb 0.2078 0.5000 0.1377
Pb 0.2609 0.5000 0.4349
Pb 0.3342 0.0000 0.7799
Pb 0.4203 0.0000 0.2822
Pb 0.4936 0.5000 0.9345
Pb 0.5475 0.5000 0.6372
Pb 0.7071 0.0000 0.7976
Pb 0.7612 0.0000 0.5010
Pb 0.8356 0.5000 0.1570
Pb 0.9204 0.5000 0.6560
Br 0.6996 0.0000 0.0860
Cl 0.0437 0.0000 0.5832
Cl 0.2102 0.5000 0.8528
Cl 0.3175 0.0000 0.0271
Cl 0.4355 0.0000 0.5279
Cl 0.5438 0.5000 0.3529
Cl 0.8194 0.5000 0.9080
Cl 0.9357 0.5000 0.4085
O 0.0163 0.2545 0.1374
O 0.0163 0.7455 0.1374
O 0.2394 0.2454 0.2982
O 0.2394 0.7546 0.2982
O 0.5145 0.2450 0.7975
O 0.5145 0.7550 0.7975
O 0.7398 0.2553 0.6375
O 0.7398 0.7447 0.6375